(1)
For RbNaAg3, DFT lattice parameters and positions (GGA-PBE) gives the calculated powder diffraction line list in this record (a wavelength of 1.5418 Å).

Structure:
a = 7.542 Å, b = 7.542 Å, c = 7.542 Å
α = 134.78°, β = 116.76°, γ = 81.11°
Atoms (fractional coordinates):
Rb  0.255  0.005  0.250
Rb  0.745  0.995  0.750
Na  0.000  0.500  0.500
Na  0.500  0.500  0.000
Ag  0.185  0.000  0.685
Ag  0.185  0.500  0.185
Ag  0.458  0.708  0.750
Ag  0.542  0.292  0.250
Ag  0.815  0.000  0.315
Ag  0.815  0.500  0.815

The 10 most intense peaks (10° ≤ 2θ ≤ 90°), most intense first:
Position (°2θ)  I_rel
15.5  100
34.9  64
31.2  63
41.7  56
33.8  54
38.5  50
36.2  40
34.7  35
50.4  30
40.7  22

=====

(2)
For Rb3Ga4Ag2, DFT lattice parameters and positions (GGA-PBE) gives the calculated powder diffraction line list in this record (a wavelength of 1.5418 Å).

Structure:
a = 4.727 Å, b = 7.011 Å, c = 9.367 Å
α = 94.87°, β = 104.59°, γ = 109.33°
Atoms (fractional coordinates):
Rb  0.000  0.000  0.000
Rb  0.254  0.869  0.640
Rb  0.746  0.131  0.360
Ga  0.335  0.582  0.080
Ga  0.483  0.581  0.379
Ga  0.517  0.419  0.621
Ga  0.665  0.418  0.920
Ag  0.079  0.400  0.767
Ag  0.921  0.600  0.233

The 10 most intense peaks (10° ≤ 2θ ≤ 90°), most intense first:
Position (°2θ)  I_rel
27.4  100
13.6  62
38.1  55
39.7  48
42.3  38
25.8  28
25.7  26
31.0  24
26.2  24
29.8  22